Entry 1:
Starting from a cell relaxed with PBE, the PXRD pattern of BaEuSnBiO6 was computed for copper Kα.
Peak positions follow from Bragg's law for the DFT cell and can differ from measured ones.

Atomic structure:
a b c (Å): 8.485 8.653 8.682
angles (deg): 90.00 90.00 90.00
Space group Pnnn (No. 48, origin choice 2)
One atom of each set of equivalent atoms:
Ba 0.250 0.250 0.250
Ba 0.250 0.750 0.250
Eu 0.250 0.250 0.750
Eu 0.250 0.750 0.750
Sn 0.000 0.000 0.000
Bi 0.000 0.000 0.500
O 0.047 0.055 0.762
O 0.055 0.738 0.547
O 0.236 0.037 0.044

Peak list (6 most intense, 10 to 90 degrees two-theta, sorted by position)
| h k l | Position (°2θ) | I/Imax |
| --- | --- | --- |
| 0 2 2 | 29.14 | 53 |
| 2 2 0 | 29.46 | 100 |
| 0 0 4 | 41.61 | 13 |
| 0 4 0 | 41.76 | 13 |
| 2 4 2 | 51.87 | 47 |
| 4 2 2 | 52.46 | 23 |


Entry 2:
Starting from a cell relaxed with PBE, the PXRD pattern of YCu2SeO2 was computed for copper Kα.
Peak positions follow from Bragg's law for the DFT cell and can differ from measured ones.

Atomic structure:
a b c (Å): 3.586 3.586 11.942
angles (deg): 90.00 90.00 90.00
Space group P4/mmm (No. 123)
One atom of each set of equivalent atoms:
Y 0.000 0.000 0.000
Cu 0.000 0.000 0.318
Se 0.000 0.000 0.500
O 0.000 0.000 0.171

Peak list (6 most intense, 10 to 90 degrees two-theta, sorted by position)
| h k l | Position (°2θ) | I/Imax |
| --- | --- | --- |
| 1 0 0 | 24.83 | 100 |
| 1 1 0 | 35.40 | 39 |
| 2 0 0 | 50.93 | 13 |
| 1 0 6 | 52.59 | 22 |
| 2 1 0 | 57.47 | 17 |
| 1 1 6 | 59.00 | 14 |


Entry 3:
Starting from a cell relaxed with PBE, the PXRD pattern of MgAl2Cu4O8 was computed for copper Kα.
Peak positions follow from Bragg's law for the DFT cell and can differ from measured ones.

Atomic structure:
a b c (Å): 6.1580 6.1580 15.0638
angles (deg): 90.00 90.00 120.00
Space group R3m (No. 160, hexagonal axes)
One atom of each set of equivalent atoms:
Mg 0.0000 0.0000 0.0000
Al 0.0000 0.0000 0.5011
Al 0.0000 0.0000 0.7500
Cu 0.0000 0.0000 0.1479
Cu 0.1967 0.3935 0.9518
O 0.0000 0.0000 0.3804
O 0.0000 0.0000 0.8719
O 0.0083 0.5041 0.3760
O 0.1721 0.3442 0.2077

Peak list (6 most intense, 10 to 90 degrees two-theta, sorted by position)
| h k l | Position (°2θ) | I/Imax |
| --- | --- | --- |
| 0 0 3 | 17.65 | 100 |
| 0 1 5 | 34.16 | 68 |
| 0 2 4 | 41.49 | 44 |
| 1 0 7 | 45.42 | 38 |
| 3 0 3 | 54.80 | 55 |
| 2 0 8 | 60.13 | 52 |


Entry 4:
Starting from a cell relaxed with PBE, the PXRD pattern of Cs2YHgI6 was computed for copper Kα.
Peak positions follow from Bragg's law for the DFT cell and can differ from measured ones.

Atomic structure:
a b c (Å): 12.546 12.546 12.546
angles (deg): 90.00 90.00 90.00
Space group Fm-3m (No. 225)
One atom of each set of equivalent atoms:
Cs 0.250 0.250 0.250
Y 0.000 0.000 0.000
Hg 0.000 0.000 0.500
I 0.000 0.000 0.242

Peak list (6 most intense, 10 to 90 degrees two-theta, sorted by position)
| h k l | Position (°2θ) | I/Imax |
| --- | --- | --- |
| 2 2 2 | 24.58 | 60 |
| 4 0 0 | 28.46 | 100 |
| 4 4 0 | 40.68 | 75 |
| 6 2 2 | 48.11 | 27 |
| 4 4 4 | 50.39 | 26 |
| 8 4 0 | 66.68 | 34 |


Entry 5:
Starting from a cell relaxed with PBE, the PXRD pattern of HfCu3 was computed for copper Kα.
Peak positions follow from Bragg's law for the DFT cell and can differ from measured ones.

Atomic structure:
a b c (Å): 4.001 4.001 7.104
angles (deg): 90.00 90.00 90.00
Space group I4/mmm (No. 139)
One atom of each set of equivalent atoms:
Hf 0.000 0.000 0.000
Cu 0.000 0.000 0.500
Cu 0.000 0.500 0.250

Peak list (6 most intense, 10 to 90 degrees two-theta, sorted by position)
| h k l | Position (°2θ) | I/Imax |
| --- | --- | --- |
| 1 0 1 | 25.55 | 26 |
| 1 1 2 | 40.77 | 100 |
| 2 0 0 | 45.33 | 37 |
| 0 0 4 | 51.45 | 12 |
| 2 0 4 | 70.96 | 18 |
| 3 1 2 | 80.60 | 25 |


Entry 6:
Starting from a cell relaxed with PBE, the PXRD pattern of LiTi3Se6 was computed for copper Kα.
Peak positions follow from Bragg's law for the DFT cell and can differ from measured ones.

Atomic structure:
a b c (Å): 3.5771 3.5771 22.6109
angles (deg): 90.00 90.00 120.00
Space group P-3m1 (No. 164)
One atom of each set of equivalent atoms:
Li 0.0000 0.0000 0.0000
Ti 0.0000 0.0000 0.1469
Ti 0.0000 0.0000 0.5000
Se 0.3333 0.6667 0.0760
Se 0.3333 0.6667 0.4321
Se 0.3333 0.6667 0.7865

Peak list (6 most intense, 10 to 90 degrees two-theta, sorted by position)
| h k l | Position (°2θ) | I/Imax |
| --- | --- | --- |
| 0 0 3 | 11.74 | 81 |
| 1 0 3 | 31.22 | 100 |
| 1 0 6 | 37.59 | 45 |
| 0 1 8 | 43.34 | 19 |
| 1 1 0 | 51.07 | 32 |
| 0 1 11 | 53.50 | 21 |


Entry 7:
Starting from a cell relaxed with PBE, the PXRD pattern of ReC5IO5 was computed for copper Kα.
Peak positions follow from Bragg's law for the DFT cell and can differ from measured ones.

Atomic structure:
a b c (Å): 7.747 11.131 10.994
angles (deg): 90.00 90.00 90.00
Space group Cmcm (No. 63)
One atom of each set of equivalent atoms:
Re 0.000 0.140 0.250
C 0.000 0.316 0.250
C 0.185 0.132 0.122
I 0.000 0.115 0.750
O 0.000 0.420 0.250
O 0.207 0.374 0.550

Peak list (6 most intense, 10 to 90 degrees two-theta, sorted by position)
| h k l | Position (°2θ) | I/Imax |
| --- | --- | --- |
| 1 1 0 | 13.93 | 94 |
| 0 0 2 | 16.12 | 100 |
| 1 1 2 | 21.37 | 79 |
| 2 0 2 | 28.18 | 75 |
| 1 3 2 | 31.29 | 41 |
| 2 4 2 | 43.29 | 37 |